# 1
Structure and calculated powder X-ray diffraction pattern of V2GaSiO6 (a structure optimized by DFT (GGA+U); Cu Ka).
No peak broadening, texture or thermal motion is included.

Structure:
a b c (Å): 5.0813 5.0887 5.3199
angles (deg): 118.40 90.17 119.91
Sites, in units of the cell vectors:
V 0.0000 0.0000 0.0000
V 0.4929 0.9865 0.4800
Ga 0.2813 0.5615 0.8450
Si 0.7915 0.5833 0.3754
O 0.0434 0.4827 0.1804
O 0.1511 0.0689 0.6611
O 0.4385 0.1377 0.1817
O 0.5911 0.7441 0.6624
O 0.6955 0.7408 0.1799
O 0.9175 0.5097 0.6623

Principal peaks in the range 2θ from 10° to 80°, by angle:
d_spacing	two_theta	I/Imax
3.679	24.2	21
2.657	33.7	100
2.544	35.3	77
2.210	40.8	21
1.840	49.5	29
1.833	49.7	14
1.675	54.8	24
1.670	55.0	15
1.490	62.3	24
1.468	63.4	23

# 2
Structure and calculated powder X-ray diffraction pattern of VGa2SiO6 (a structure optimized by DFT (GGA+U); Cu Ka).
No peak broadening, texture or thermal motion is included.

Structure:
a b c (Å): 6.9746 6.9746 5.5615
angles (deg): 105.72 105.72 98.21
Sites, in units of the cell vectors:
V 0.0960 0.9040 0.7500
V 0.9040 0.0960 0.2500
Ga 0.2817 0.4486 0.8351
Ga 0.4486 0.2817 0.3351
Ga 0.5514 0.7183 0.6649
Ga 0.7183 0.5514 0.1649
Si 0.1801 0.8199 0.2500
Si 0.8199 0.1801 0.7500
O 0.0403 0.2013 0.6830
O 0.1515 0.6563 0.9621
O 0.2013 0.0403 0.1830
O 0.3103 0.4463 0.5120
O 0.3437 0.8485 0.5379
O 0.4463 0.3103 0.0120
O 0.5537 0.6897 0.9880
O 0.6563 0.1515 0.4621
O 0.6897 0.5537 0.4880
O 0.7987 0.9597 0.8170
O 0.8485 0.3437 0.0379
O 0.9597 0.7987 0.3170

Principal peaks in the range 2θ from 10° to 80°, by angle:
d_spacing	two_theta	I/Imax
5.272	16.8	58
4.157	21.4	34
3.652	24.4	100
3.489	25.5	37
3.269	27.3	45
2.952	30.3	52
2.680	33.4	87
2.671	33.6	44
2.548	35.2	42
1.749	52.3	35